Record 1
Calculated powder diffractogram of Sm2Dy3Cd3 for Cu Kα, from the PBE geometry in Alexandria.

Largest 8 diffraction maxima, sorted by position, 10° ≤ 2θ ≤ 90°:
Position (°2θ), I/Imax, index
32.03, 22, 0 0 8
33.20, 100, 1 1 4
33.49, 26, 0 2 0
47.02, 15, 0 2 8
57.84, 12, 1 1 12
59.69, 18, 1 3 4
60.05, 10, 2 2 0
69.69, 10, 2 2 8

Structure:
```
data_Sm2Dy3Cd3
_chemical_formula_sum 'Sm4 Dy6 Cd6'
_symmetry_space_group_name_H-M 'I m m m'
_symmetry_Int_Tables_number 71
_symmetry_space_group_name_Hall '-I 2 2'
_cell_length_a 3.7692
_cell_length_b 5.3515
_cell_length_c 22.3535
_cell_angle_alpha 90.00
_cell_angle_beta 90.00
_cell_angle_gamma 90.00
loop_
_atom_site_label
_atom_site_type_symbol
_atom_site_fract_x
_atom_site_fract_y
_atom_site_fract_z
Sm1 Sm 0.0000 0.0000 0.2326
Dy1 Dy 0.0000 0.0000 0.0000
Dy2 Dy 0.0000 0.5000 0.1212
Cd1 Cd 0.0000 0.0000 0.5000
Cd2 Cd 0.0000 0.5000 0.3853
```

***

Record 2
Calculated powder diffractogram of Zr7Pt10 for Cu Kα, from the PBE geometry in Alexandria.

Largest 8 diffraction maxima, sorted by position, 10° ≤ 2θ ≤ 90°:
Position (°2θ), I/Imax, index
25.95, 32, 0 2 2
35.56, 60, 3 3 1
37.02, 35, 0 4 0
37.67, 100, 4 2 2
39.51, 30, 2 4 0
39.96, 27, 1 3 3
46.31, 28, 4 4 0
48.27, 28, 1 1 5

Structure:
```
data_Zr7Pt10
_chemical_formula_sum 'Zr28 Pt40'
_symmetry_space_group_name_H-M 'C m c e'
_symmetry_Int_Tables_number 64
_symmetry_space_group_name_Hall '-C 2ac 2'
_cell_length_a 13.2949
_cell_length_b 9.7056
_cell_length_c 9.7186
_cell_angle_alpha 90.00
_cell_angle_beta 90.00
_cell_angle_gamma 90.00
loop_
_atom_site_label
_atom_site_type_symbol
_atom_site_fract_x
_atom_site_fract_y
_atom_site_fract_z
Zr1 Zr 0.0000 0.0000 0.0000
Zr2 Zr 0.0000 0.1829 0.3174
Zr3 Zr 0.1898 0.0000 0.5000
Zr4 Zr 0.2500 0.2490 0.2500
Pt1 Pt 0.0000 0.1079 0.6075
Pt2 Pt 0.1459 0.0013 0.2088
Pt3 Pt 0.1463 0.2091 0.9993
```

***

Record 3
Calculated powder diffractogram of CsSr2DyCl8 for Cu Kα, from the PBE geometry in Alexandria.

Largest 8 diffraction maxima, sorted by position, 10° ≤ 2θ ≤ 90°:
Position (°2θ), I/Imax, index
18.56, 100, 1 1 0
18.73, 86, 1 -1 0
23.17, 46, 0 1 2
23.33, 88, 1 0 -2
35.28, 38, 1 2 2
35.60, 55, 2 1 2
35.79, 57, 2 -1 2
44.46, 36, 0 3 -2

Structure:
```
data_CsSr2DyCl8
_chemical_formula_sum 'Cs1 Sr2 Dy1 Cl8'
_symmetry_space_group_name_H-M 'P -1'
_symmetry_Int_Tables_number 2
_cell_length_a 6.6595
_cell_length_b 6.8015
_cell_length_c 9.2998
_cell_angle_alpha 89.98
_cell_angle_beta 89.94
_cell_angle_gamma 89.48
loop_
_symmetry_equiv_pos_as_xyz
'x,y,z'
'-x,-y,-z'
loop_
_atom_site_label
_atom_site_type_symbol
_atom_site_fract_x
_atom_site_fract_y
_atom_site_fract_z
Cs1 Cs 0.0000 0.0000 0.0000
Sr1 Sr 0.5000 0.5000 0.2514
Dy1 Dy 0.0000 0.0000 0.5000
Cl1 Cl 0.2293 0.8344 0.6981
Cl2 Cl 0.2297 0.8350 0.3017
Cl3 Cl 0.2574 0.3119 0.5001
Cl4 Cl 0.2703 0.3994 0.0002
```

***

Record 4
Calculated powder diffractogram of Rb2Cd3Hg9 for Cu Kα, from the PBE geometry in Alexandria.

Largest 8 diffraction maxima, sorted by position, 10° ≤ 2θ ≤ 90°:
Position (°2θ), I/Imax, index
30.60, 100, 3 1 2
30.88, 54, 0 2 3
33.34, 39, 6 0 -2
34.13, 66, 3 3 -1
37.03, 22, 6 0 -4
37.75, 39, 3 3 -3
57.89, 23, 9 1 -6
59.26, 22, 3 5 -4

Structure:
```
data_Rb2Cd3Hg9
_chemical_formula_sum 'Rb8 Cd12 Hg36'
_symmetry_space_group_name_H-M 'C 1 2/c 1'
_symmetry_Int_Tables_number 15
_cell_length_a 16.1240
_cell_length_b 9.0332
_cell_length_c 12.5346
_cell_angle_alpha 90.00
_cell_angle_beta 115.45
_cell_angle_gamma 90.00
loop_
_symmetry_equiv_pos_as_xyz
'x,y,z'
'-x,-y,-z'
'-x,y,-z+1/2'
'x,-y,z+1/2'
'x+1/2,y+1/2,z'
'-x+1/2,-y+1/2,-z'
'-x+1/2,y+1/2,-z+1/2'
'x+1/2,-y+1/2,z+1/2'
loop_
_atom_site_label
_atom_site_type_symbol
_atom_site_fract_x
_atom_site_fract_y
_atom_site_fract_z
Rb1 Rb 0.1680 0.0827 0.2468
Cd1 Cd 0.0875 0.2267 0.4960
Cd2 Cd 0.2500 0.2500 0.0000
Hg1 Hg 0.0000 0.3716 0.2500
Hg2 Hg 0.0569 0.0978 0.9172
Hg3 Hg 0.0978 0.4184 0.0533
Hg4 Hg 0.1068 0.3192 0.7432
Hg5 Hg 0.2188 0.4192 0.4273
```

***

Record 5
Calculated powder diffractogram of BaTl2Bi5 for Cu Kα, from the PBE geometry in Alexandria.

Largest 8 diffraction maxima, sorted by position, 10° ≤ 2θ ≤ 90°:
Position (°2θ), I/Imax, index
30.03, 100, 2 2 0
30.49, 93, 0 2 4
32.49, 41, 0 4 0
36.32, 59, 2 0 4
49.51, 50, 2 4 4
56.44, 18, 2 6 0
61.22, 27, 4 2 4
62.02, 23, 2 2 8

Structure:
```
data_BaTl2Bi5
_chemical_formula_sum 'Ba4 Tl8 Bi20'
_symmetry_space_group_name_H-M 'F m m m'
_symmetry_Int_Tables_number 69
_symmetry_space_group_name_Hall '-F 2 2'
_cell_length_a 7.0716
_cell_length_b 11.0243
_cell_length_c 13.8491
_cell_angle_alpha 90.00
_cell_angle_beta 90.00
_cell_angle_gamma 90.00
loop_
_atom_site_label
_atom_site_type_symbol
_atom_site_fract_x
_atom_site_fract_y
_atom_site_fract_z
Ba1 Ba 0.0000 0.0000 0.0000
Tl1 Tl 0.0000 0.0000 0.2632
Bi1 Bi 0.0000 0.0000 0.5000
Bi2 Bi 0.2500 0.2500 0.1218
```

***

Record 6
Calculated powder diffractogram of Dy6Y4Er for Cu Kα, from the PBE geometry in Alexandria.

Largest 8 diffraction maxima, sorted by position, 10° ≤ 2θ ≤ 90°:
Position (°2θ), I/Imax, index
28.40, 45, 1 1 4
29.19, 92, 2 0 2
30.96, 96, 2 1 1
31.37, 51, 0 0 6
34.47, 100, 2 0 4
38.87, 33, 2 2 0
40.53, 41, 2 1 5
57.42, 32, 1 1 10

Structure:
```
data_Dy6Y4Er
_chemical_formula_sum 'Dy12 Y8 Er2'
_symmetry_space_group_name_H-M 'I -4 2 m'
_symmetry_Int_Tables_number 121
_symmetry_space_group_name_Hall 'I -4 2'
_cell_length_a 6.5525
_cell_length_b 6.5525
_cell_length_c 17.1079
_cell_angle_alpha 90.00
_cell_angle_beta 90.00
_cell_angle_gamma 90.00
loop_
_atom_site_label
_atom_site_type_symbol
_atom_site_fract_x
_atom_site_fract_y
_atom_site_fract_z
Dy1 Dy 0.0000 0.5000 0.0000
Dy2 Dy 0.1854 0.1854 0.1713
Y1 Y 0.1796 0.1796 0.3670
Er1 Er 0.0000 0.0000 0.0000
```

***

Record 7
Calculated powder diffractogram of Ba6As2O for Cu Kα, from the PBE geometry in Alexandria.

Largest 8 diffraction maxima, sorted by position, 10° ≤ 2θ ≤ 90°:
Position (°2θ), I/Imax, index
25.12, 58, 1 2 -2
26.12, 46, 2 1 -2
26.32, 70, 0 2 2
27.43, 100, 2 1 -3
27.61, 92, 1 0 2
28.99, 80, 1 2 1
29.49, 57, 1 1 -4
33.14, 40, 1 3 -1

Structure:
```
data_Ba6As2O
_chemical_formula_sum 'Ba12 As4 O2'
_symmetry_space_group_name_H-M 'P 1 21/c 1'
_symmetry_Int_Tables_number 14
_cell_length_a 7.4161
_cell_length_b 8.7082
_cell_length_c 13.0546
_cell_angle_alpha 90.00
_cell_angle_beta 124.43
_cell_angle_gamma 90.00
loop_
_symmetry_equiv_pos_as_xyz
'x,y,z'
'-x,-y,-z'
'-x,y+1/2,-z+1/2'
'x,-y+1/2,z+1/2'
loop_
_atom_site_label
_atom_site_type_symbol
_atom_site_fract_x
_atom_site_fract_y
_atom_site_fract_z
Ba1 Ba 0.1085 0.0336 0.2404
Ba2 Ba 0.2171 0.6965 0.0631
Ba3 Ba 0.3709 0.1582 0.0612
As1 As 0.3059 0.1166 0.7453
O1 O 0.0000 0.0000 0.0000
```

***

Record 8
Calculated powder diffractogram of Nd5Y2Tm4 for Cu Kα, from the PBE geometry in Alexandria.

Largest 8 diffraction maxima, sorted by position, 10° ≤ 2θ ≤ 90°:
Position (°2θ), I/Imax, index
30.41, 43, 0 1 3
31.19, 45, 1 -1 2
31.31, 100, -1 2 1
31.44, 58, 2 0 -1
31.77, 56, 1 2 0
45.20, 17, 3 -1 1
56.19, 19, 0 4 1
56.43, 29, 3 2 -1

Structure:
```
data_Nd5Y2Tm4
_chemical_formula_sum 'Nd5 Y2 Tm4'
_symmetry_space_group_name_H-M 'P -1'
_symmetry_Int_Tables_number 2
_cell_length_a 6.6326
_cell_length_b 6.6670
_cell_length_c 9.0547
_cell_angle_alpha 68.86
_cell_angle_beta 78.11
_cell_angle_gamma 85.13
loop_
_symmetry_equiv_pos_as_xyz
'x,y,z'
'-x,-y,-z'
loop_
_atom_site_label
_atom_site_type_symbol
_atom_site_fract_x
_atom_site_fract_y
_atom_site_fract_z
Nd1 Nd 0.0000 0.0000 0.0000
Nd2 Nd 0.1933 0.8623 0.3599
Nd3 Nd 0.2918 0.3326 0.6049
Y1 Y 0.0930 0.4262 0.2007
Tm1 Tm 0.3929 0.7884 0.7017
Tm2 Tm 0.4708 0.2697 0.9539
```

***

Record 9
Calculated powder diffractogram of Pm2CoRh for Cu Kα, from the PBE geometry in Alexandria.

Largest 8 diffraction maxima, sorted by position, 10° ≤ 2θ ≤ 90°:
Position (°2θ), I/Imax, index
25.55, 9, 1 0 0
36.45, 100, 1 1 0
45.04, 3, 1 1 2
52.49, 17, 2 0 0
59.27, 4, 2 1 0
65.59, 35, 2 1 2
77.43, 11, 2 2 0
88.73, 16, 3 1 0

Structure:
```
data_Pm2CoRh
_chemical_formula_sum 'Pm2 Co1 Rh1'
_symmetry_space_group_name_H-M 'P 4/m m m'
_symmetry_Int_Tables_number 123
_symmetry_space_group_name_Hall '-P 4 2'
_cell_length_a 3.4860
_cell_length_b 3.4860
_cell_length_c 6.9744
_cell_angle_alpha 90.00
_cell_angle_beta 90.00
_cell_angle_gamma 90.00
loop_
_atom_site_label
_atom_site_type_symbol
_atom_site_fract_x
_atom_site_fract_y
_atom_site_fract_z
Pm1 Pm 0.0000 0.0000 0.2463
Co1 Co 0.5000 0.5000 0.0000
Rh1 Rh 0.5000 0.5000 0.5000
```

***

Record 10
Calculated powder diffractogram of NdDy3Ir8 for Cu Kα, from the PBE geometry in Alexandria.

Largest 8 diffraction maxima, sorted by position, 10° ≤ 2θ ≤ 90°:
Position (°2θ), I/Imax, index
20.22, 12, 0 1 2
33.31, 21, 1 1 0
39.27, 100, 2 0 2
41.10, 47, 0 2 4
63.54, 33, 3 0 6
69.94, 30, 2 2 0
83.28, 12, 1 3 10
84.46, 18, 4 0 4

Structure:
```
data_NdDy3Ir8
_chemical_formula_sum 'Nd3 Dy9 Ir24'
_symmetry_space_group_name_H-M 'R 3 m'
_symmetry_Int_Tables_number 160
_symmetry_space_group_name_Hall 'R 3 -2"'
_cell_length_a 5.3814
_cell_length_b 5.3814
_cell_length_c 26.3426
_cell_angle_alpha 90.00
_cell_angle_beta 90.00
_cell_angle_gamma 120.00
loop_
_atom_site_label
_atom_site_type_symbol
_atom_site_fract_x
_atom_site_fract_y
_atom_site_fract_z
Nd1 Nd 0.0000 0.0000 0.0000
Dy1 Dy 0.0000 0.0000 0.1253
Dy2 Dy 0.0000 0.0000 0.4996
Dy3 Dy 0.0000 0.0000 0.6243
Ir1 Ir 0.0000 0.0000 0.3122
Ir2 Ir 0.0000 0.0000 0.8124
Ir3 Ir 0.0005 0.5003 0.0632
Ir4 Ir 0.1671 0.3343 0.8949
```

***

Record 11
Calculated powder diffractogram of Pm2Sm2YHo2 for Cu Kα, from the PBE geometry in Alexandria.

Largest 8 diffraction maxima, sorted by position, 10° ≤ 2θ ≤ 90°:
Position (°2θ), I/Imax, index
30.43, 100, 1 1 2
35.27, 17, 2 0 -3
35.29, 34, 4 0 1
50.76, 36, 4 2 1
60.35, 43, 7 1 0
63.33, 12, 2 2 4
82.66, 12, 7 3 0
85.34, 12, 8 2 2

Structure:
```
data_Pm2Sm2YHo2
_chemical_formula_sum 'Pm4 Sm4 Y2 Ho4'
_symmetry_space_group_name_H-M 'C 1 2/m 1'
_symmetry_Int_Tables_number 12
_cell_length_a 11.3805
_cell_length_b 5.0863
_cell_length_c 8.0426
_cell_angle_alpha 90.00
_cell_angle_beta 98.21
_cell_angle_gamma 90.00
loop_
_symmetry_equiv_pos_as_xyz
'x,y,z'
'-x,-y,-z'
'-x,y,-z'
'x,-y,z'
'x+1/2,y+1/2,z'
'-x+1/2,-y+1/2,-z'
'-x+1/2,y+1/2,-z'
'x+1/2,-y+1/2,z'
loop_
_atom_site_label
_atom_site_type_symbol
_atom_site_fract_x
_atom_site_fract_y
_atom_site_fract_z
Pm1 Pm 0.1433 0.0000 0.4286
Sm1 Sm 0.0716 0.5000 0.7170
Y1 Y 0.0000 0.0000 0.0000
Ho1 Ho 0.2146 0.5000 0.1411
```

***

Record 12
Calculated powder diffractogram of Cs2PuAl2O6 for Cu Kα, from the PBE geometry in Alexandria.

Largest 8 diffraction maxima, sorted by position, 10° ≤ 2θ ≤ 90°:
Position (°2θ), I/Imax, index
17.39, 65, 1 0 1
24.71, 34, 1 0 4
28.25, 100, 0 1 5
29.29, 76, 1 1 0
38.69, 22, 0 2 4
41.16, 31, 2 0 5
51.33, 55, 1 2 5
68.34, 24, 3 1 5

Structure:
```
data_Cs2PuAl2O6
_chemical_formula_sum 'Cs6 Pu3 Al6 O18'
_symmetry_space_group_name_H-M 'R -3 m'
_symmetry_Int_Tables_number 166
_symmetry_space_group_name_Hall '-R 3 2"'
_cell_length_a 6.0977
_cell_length_b 6.0977
_cell_length_c 19.7072
_cell_angle_alpha 90.00
_cell_angle_beta 90.00
_cell_angle_gamma 120.00
loop_
_atom_site_label
_atom_site_type_symbol
_atom_site_fract_x
_atom_site_fract_y
_atom_site_fract_z
Cs1 Cs 0.0000 0.0000 0.2075
Pu1 Pu 0.0000 0.0000 0.0000
Al1 Al 0.0000 0.0000 0.3974
O1 O 0.0090 0.5045 0.2658
```